This entry pairs a crystal structure of SmEr6Th4 with its theoretical X-ray powder pattern. Radiation: a wavelength of 1.5418 Å. Structure: the PBE geometry in Alexandria.

Most intense lines, 2θ from 15° to 90°, in order of rising 2θ:
- 2θ = 27.15°, I = 26.6
- 2θ = 28.97°, I = 18.1
- 2θ = 30.68°, I = 66.7
- 2θ = 31.59°, I = 100.0
- 2θ = 31.97°, I = 15.2
- 2θ = 33.94°, I = 36.7
- 2θ = 36.54°, I = 43.4
- 2θ = 41.41°, I = 17.6
- 2θ = 55.10°, I = 20.1
- 2θ = 63.58°, I = 26.3

Cell and atoms:
Cell lengths 18.1351, 18.1351, 18.1351 Å; angles 169.18, 161.50, 21.48 degrees
Sites, in units of the cell vectors:
Sm1 0.0000 0.0000 0.0000
Er1 0.0967 0.5967 0.5000
Er2 0.2670 0.7670 0.5000
Er3 0.3686 0.8686 0.5000
Er4 0.6314 0.1314 0.5000
Er5 0.7330 0.2330 0.5000
Er6 0.9033 0.4033 0.5000
Th1 0.1823 0.1823 0.0000
Th2 0.4555 0.4555 0.0000
Th3 0.5445 0.5445 0.0000
Th4 0.8177 0.8177 0.0000